1.
Diffraction record for CsCd12Sn6. The powder diffractogram is computed, not measured: it uses a crystal structure in Alexandria, relaxed with PBE and CuKα.
Kinematic intensities with the Lorentz-polarization factor, no thermal factor.

Principal peaks in the range 2θ from 10° to 80°, in order of falling intensity:
2θ/deg, I/Imax
30.7, 1000
28.3, 942
42.0, 697
35.2, 475
40.8, 452
25.7, 343
63.3, 304
37.6, 297
34.2, 280
38.2, 256

Cell and atoms:
Cell lengths 8.632, 8.632, 8.632 Å; angles 107.03, 107.03, 107.03 degrees
Positions (direct):
1 Cs 0.000 0.000 0.000
2 Cd 0.102 0.500 0.898
3 Cd 0.102 0.898 0.500
4 Cd 0.199 0.417 0.417
5 Cd 0.417 0.199 0.417
6 Cd 0.417 0.417 0.199
7 Cd 0.500 0.102 0.898
8 Cd 0.500 0.898 0.102
9 Cd 0.583 0.583 0.801
10 Cd 0.583 0.801 0.583
11 Cd 0.801 0.583 0.583
12 Cd 0.898 0.102 0.500
13 Cd 0.898 0.500 0.102
14 Sn 0.217 0.709 0.709
15 Sn 0.291 0.291 0.783
16 Sn 0.291 0.783 0.291
17 Sn 0.709 0.217 0.709
18 Sn 0.709 0.709 0.217
19 Sn 0.783 0.291 0.291



2.
Diffraction record for BaCa14Mg. The powder diffractogram is computed, not measured: it uses a crystal structure in Alexandria, relaxed with PBE and CuKα.
Kinematic intensities with the Lorentz-polarization factor, no thermal factor.

Principal peaks in the range 2θ from 10° to 80°, in order of falling intensity:
2θ/deg, I/Imax
30.0, 1000
29.9, 531
27.9, 410
50.7, 316
26.5, 255
55.2, 211
46.6, 183
38.9, 173
14.9, 157
56.7, 152

Cell and atoms:
Cell lengths 12.780, 7.789, 7.789 Å; angles 59.62, 90.00, 90.00 degrees
Positions (direct):
1 Ba 0.000 0.000 0.000
2 Ca 0.000 0.003 0.497
3 Ca 0.000 0.497 0.003
4 Ca 0.241 0.662 0.662
5 Ca 0.248 0.168 0.660
6 Ca 0.248 0.660 0.168
7 Ca 0.257 0.166 0.166
8 Ca 0.500 0.499 0.499
9 Ca 0.500 0.500 0.997
10 Ca 0.500 0.997 0.500
11 Ca 0.500 0.998 0.998
12 Ca 0.743 0.166 0.166
13 Ca 0.752 0.168 0.660
14 Ca 0.752 0.660 0.168
15 Ca 0.759 0.662 0.662
16 Mg 0.000 0.501 0.501